Starting from a structure optimized by DFT (PBE), the powder XRD pattern of Cu2AgAu5 was calculated for CuKα.
Peak positions follow from Bragg's law for the DFT cell and can differ from measured ones.

Crystal structure
Lattice parameters (Å, degrees): 7.429 7.429 7.429 123.55 123.55 83.95
Fractional coordinates of all 16 atoms:
1 Cu 0.144 0.644 0.788
2 Cu 0.356 0.144 0.500
3 Cu 0.644 0.856 0.500
4 Cu 0.856 0.356 0.212
5 Ag 0.250 0.250 0.000
6 Ag 0.750 0.750 0.000
7 Au 0.000 0.000 0.000
8 Au 0.004 0.804 0.500
9 Au 0.196 0.696 0.200
10 Au 0.304 0.504 0.500
11 Au 0.496 0.996 0.800
12 Au 0.500 0.500 0.000
13 Au 0.504 0.004 0.200
14 Au 0.696 0.496 0.500
15 Au 0.804 0.304 0.800
16 Au 0.996 0.196 0.500

Principal peaks in the range 2θ from 10° to 90°, in order of rising 2θ:
29.6°, I 220; 37.3°, I 226; 37.6°, I 1000; 40.6°, I 575; 41.6°, I 164; 77.6°, I 189

=====

Starting from a structure optimized by DFT (PBE), the powder XRD pattern of Rb2CeCu3Te5 was calculated for CuKα.
Peak positions follow from Bragg's law for the DFT cell and can differ from measured ones.

Crystal structure
Lattice parameters (Å, degrees): 9.877 9.877 12.647 110.90 110.90 36.77
Fractional coordinates of all 22 atoms:
1 Rb 0.001 0.001 0.175
2 Rb 0.330 0.330 0.164
3 Rb 0.670 0.670 0.836
4 Rb 0.999 0.999 0.825
5 Ce 0.298 0.298 0.681
6 Ce 0.702 0.702 0.319
7 Cu 0.126 0.582 0.490
8 Cu 0.229 0.771 0.500
9 Cu 0.418 0.874 0.510
10 Cu 0.582 0.126 0.490
11 Cu 0.771 0.229 0.500
12 Cu 0.874 0.418 0.510
13 Te 0.108 0.605 0.913
14 Te 0.118 0.118 0.647
15 Te 0.219 0.219 0.399
16 Te 0.395 0.892 0.087
17 Te 0.460 0.460 0.641
18 Te 0.540 0.540 0.359
19 Te 0.605 0.108 0.913
20 Te 0.781 0.781 0.601
21 Te 0.882 0.882 0.353
22 Te 0.892 0.395 0.087

Principal peaks in the range 2θ from 10° to 90°, in order of rising 2θ:
26.4°, I 915; 28.8°, I 694; 32.4°, I 782; 32.5°, I 658; 35.4°, I 642; 41.1°, I 1000

=====

Starting from a structure optimized by DFT (PBE), the powder XRD pattern of CuS was calculated for CuKα.
Peak positions follow from Bragg's law for the DFT cell and can differ from measured ones.

Crystal structure
Lattice parameters (Å, degrees): 3.504 3.504 5.884 100.39 100.39 82.68
Fractional coordinates of all 4 atoms:
1 Cu 0.000 0.500 0.000
2 Cu 0.500 0.000 0.500
3 S 0.069 0.931 0.750
4 S 0.931 0.069 0.250

Principal peaks in the range 2θ from 10° to 90°, in order of rising 2θ:
28.1°, I 645; 32.5°, I 1000; 41.4°, I 376; 50.8°, I 314; 51.0°, I 262; 53.4°, I 267

=====

Starting from a structure optimized by DFT (PBE), the powder XRD pattern of Hf3MoPt was calculated for CuKα.
Peak positions follow from Bragg's law for the DFT cell and can differ from measured ones.

Crystal structure
Lattice parameters (Å, degrees): 4.990 4.990 4.990 90.00 90.00 90.00
Fractional coordinates of all 5 atoms:
1 Hf 0.000 0.000 0.500
2 Hf 0.000 0.500 0.000
3 Hf 0.500 0.000 0.000
4 Mo 0.500 0.500 0.500
5 Pt 0.000 0.000 0.000

Principal peaks in the range 2θ from 10° to 90°, in order of rising 2θ:
17.8°, I 607; 31.0°, I 559; 36.0°, I 1000; 40.4°, I 319; 51.8°, I 711; 87.4°, I 335

=====

Starting from a structure optimized by DFT (PBE), the powder XRD pattern of TlCd2O3 was calculated for CuKα.
Peak positions follow from Bragg's law for the DFT cell and can differ from measured ones.

Crystal structure
Lattice parameters (Å, degrees): 7.772 7.772 7.772 154.26 154.26 36.72
Fractional coordinates of all 6 atoms:
1 Tl 0.000 0.000 0.000
2 Cd 0.330 0.330 0.000
3 Cd 0.670 0.670 0.000
4 O 0.172 0.172 0.000
5 O 0.500 0.500 0.000
6 O 0.828 0.828 0.000

Principal peaks in the range 2θ from 10° to 90°, in order of rising 2θ:
31.6°, I 1000; 36.5°, I 270; 36.7°, I 538; 52.8°, I 361; 52.9°, I 181; 62.9°, I 294

=====

Starting from a structure optimized by DFT (PBE), the powder XRD pattern of CrRe2Tc was calculated for CuKα.
Peak positions follow from Bragg's law for the DFT cell and can differ from measured ones.

Crystal structure
Lattice parameters (Å, degrees): 2.687 4.196 5.201 90.00 103.42 90.00
Fractional coordinates of all 4 atoms:
1 Cr 0.000 0.000 0.000
2 Re 0.184 0.500 0.759
3 Re 0.816 0.500 0.241
4 Tc 0.500 0.000 0.500

Principal peaks in the range 2θ from 10° to 90°, in order of rising 2θ:
21.2°, I 458; 41.1°, I 897; 41.7°, I 1000; 42.5°, I 436; 43.1°, I 458; 77.6°, I 290

=====

Starting from a structure optimized by DFT (PBE), the powder XRD pattern of NiIr2RuRh2 was calculated for CuKα.
Peak positions follow from Bragg's law for the DFT cell and can differ from measured ones.

Crystal structure
Lattice parameters (Å, degrees): 5.031 5.307 6.486 90.00 97.59 90.00
Fractional coordinates of all 12 atoms:
1 Ni 0.204 0.250 0.146
2 Ni 0.796 0.750 0.854
3 Ir 0.004 0.250 0.495
4 Ir 0.497 0.750 0.505
5 Ir 0.503 0.250 0.495
6 Ir 0.996 0.750 0.505
7 Ru 0.199 0.750 0.151
8 Ru 0.801 0.250 0.849
9 Rh 0.300 0.000 0.818
10 Rh 0.300 0.500 0.818
11 Rh 0.700 0.000 0.182
12 Rh 0.700 0.500 0.182

Principal peaks in the range 2θ from 10° to 90°, in order of rising 2θ:
13.8°, I 893; 36.6°, I 676; 40.5°, I 1000; 42.2°, I 930; 42.9°, I 835; 44.3°, I 651

=====

Starting from a structure optimized by DFT (PBE), the powder XRD pattern of TiAl2Te2 was calculated for CuKα.
Peak positions follow from Bragg's law for the DFT cell and can differ from measured ones.

Crystal structure
Lattice parameters (Å, degrees): 9.086 9.086 9.086 156.88 156.88 32.93
Fractional coordinates of all 5 atoms:
1 Ti 0.000 0.000 0.000
2 Al 0.250 0.750 0.500
3 Al 0.750 0.250 0.500
4 Te 0.406 0.406 0.000
5 Te 0.594 0.594 0.000

Principal peaks in the range 2θ from 10° to 90°, in order of rising 2θ:
10.2°, I 435; 25.0°, I 748; 34.8°, I 367; 35.7°, I 1000; 36.4°, I 433; 63.0°, I 367

=====

Starting from a structure optimized by DFT (PBE), the powder XRD pattern of YI3O9 was calculated for CuKα.
Peak positions follow from Bragg's law for the DFT cell and can differ from measured ones.

Crystal structure
Lattice parameters (Å, degrees): 8.825 6.270 16.815 90.00 114.71 90.00
Fractional coordinates of all 52 atoms:
1 Y 0.150 0.227 0.109
2 Y 0.150 0.273 0.609
3 Y 0.850 0.727 0.391
4 Y 0.850 0.773 0.891
5 I 0.071 0.203 0.359
6 I 0.071 0.297 0.859
7 I 0.352 0.648 0.517
8 I 0.352 0.852 0.017
9 I 0.415 0.587 0.802
10 I 0.415 0.913 0.302
11 I 0.585 0.087 0.698
12 I 0.585 0.413 0.198
13 I 0.648 0.148 0.983
14 I 0.648 0.352 0.483
15 I 0.929 0.703 0.141
16 I 0.929 0.797 0.641
17 O 0.066 0.029 0.687
18 O 0.066 0.471 0.187
19 O 0.095 0.592 0.671
20 O 0.095 0.908 0.171
21 O 0.114 0.152 0.473
22 O 0.114 0.348 0.973
23 O 0.123 0.658 0.475
24 O 0.123 0.842 0.975
25 O 0.337 0.575 0.888
26 O 0.337 0.925 0.388
27 O 0.348 0.180 0.257
28 O 0.348 0.320 0.757
29 O 0.351 0.060 0.938
30 O 0.351 0.440 0.438
31 O 0.365 0.014 0.634
32 O 0.365 0.486 0.134
33 O 0.374 0.022 0.111
34 O 0.374 0.478 0.611
35 O 0.626 0.522 0.389
36 O 0.626 0.978 0.889
37 O 0.635 0.514 0.866
38 O 0.635 0.986 0.366
39 O 0.649 0.560 0.562
40 O 0.649 0.940 0.062
41 O 0.652 0.680 0.243
42 O 0.652 0.820 0.743
43 O 0.663 0.075 0.612
44 O 0.663 0.425 0.112
45 O 0.877 0.158 0.025
46 O 0.877 0.342 0.525
47 O 0.886 0.652 0.027
48 O 0.886 0.848 0.527
49 O 0.905 0.092 0.829
50 O 0.905 0.408 0.329
51 O 0.934 0.529 0.813
52 O 0.934 0.971 0.313

Principal peaks in the range 2θ from 10° to 90°, in order of rising 2θ:
20.3°, I 295; 22.5°, I 568; 25.5°, I 1000; 26.4°, I 824; 29.8°, I 328; 30.3°, I 326

=====

Starting from a structure optimized by DFT (PBE), the powder XRD pattern of Co2IrRh was calculated for CuKα.
Peak positions follow from Bragg's law for the DFT cell and can differ from measured ones.

Crystal structure
Lattice parameters (Å, degrees): 2.673 2.673 7.135 90.00 90.00 90.00
Fractional coordinates of all 4 atoms:
1 Co 0.000 0.000 0.000
2 Co 0.500 0.500 0.222
3 Ir 0.000 0.000 0.474
4 Rh 0.500 0.500 0.745

Principal peaks in the range 2θ from 10° to 90°, in order of rising 2θ:
12.4°, I 371; 35.9°, I 213; 42.2°, I 1000; 48.1°, I 348; 72.9°, I 179; 85.7°, I 252

=====

Starting from a structure optimized by DFT (PBE), the powder XRD pattern of AcTi2H8 was calculated for CuKα.
Peak positions follow from Bragg's law for the DFT cell and can differ from measured ones.

Crystal structure
Lattice parameters (Å, degrees): 4.910 4.840 4.840 121.54 90.00 90.00
Fractional coordinates of all 11 atoms:
1 Ac 0.000 0.000 0.000
2 Ti 0.500 0.327 0.669
3 Ti 0.500 0.669 0.327
4 H 0.230 0.528 0.999
5 H 0.230 0.999 0.528
6 H 0.250 0.501 0.501
7 H 0.500 0.216 0.983
8 H 0.500 0.983 0.216
9 H 0.750 0.501 0.501
10 H 0.770 0.528 0.999
11 H 0.770 0.999 0.528

Principal peaks in the range 2θ from 10° to 90°, in order of rising 2θ:
21.5°, I 405; 27.9°, I 551; 28.3°, I 1000; 37.2°, I 338; 47.8°, I 255; 53.2°, I 246

=====

What is the formula in the third record? CuS